Record 1
For LaNi2H8Ru, the PBE geometry in Alexandria gives the calculated X-ray powder pattern in this record (Cu Kα).

Structural model:
a = 4.5911 Å, b = 4.5911 Å, c = 16.3927 Å
α = 90.00°, β = 90.00°, γ = 120.00°
Space group R-3 (No. 148, hexagonal axes)
Unique sites:
La  0.0000  0.0000  0.0000 (multiplicity 3)
Ni  0.0000  0.0000  0.2102 (multiplicity 6)
H  0.0000  0.0000  0.3068 (multiplicity 6)
H  0.0149  0.3669  0.7836 (multiplicity 18)
Ru  0.0000  0.0000  0.5000 (multiplicity 3)

Top 10 peaks for 2θ from 10° to 90°, by angle:
| index | d [Å] | two_theta | intensity |
| --- | --- | --- | --- |
| 0 1 2 | 3.577 | 24.89 | 28.2 |
| 1 0 4 | 2.854 | 31.35 | 100.0 |
| 0 0 6 | 2.732 | 32.78 | 16.2 |
| 0 1 5 | 2.529 | 35.49 | 17.6 |
| 1 1 0 | 2.296 | 39.25 | 76.4 |
| 0 2 4 | 1.789 | 51.06 | 25.1 |
| 1 1 6 | 1.758 | 52.03 | 26.6 |
| 1 0 10 | 1.516 | 61.15 | 18.7 |
| 2 1 4 | 1.411 | 66.24 | 22.2 |
| 3 0 0 | 1.325 | 71.14 | 12.8 |

***

Record 2
For SrSi2Pd8, the PBE geometry in Alexandria gives the calculated X-ray powder pattern in this record (Cu Kα).

Structural model:
a = 5.4926 Å, b = 5.4926 Å, c = 7.9135 Å
α = 90.00°, β = 90.00°, γ = 90.00°
Space group P4/mmm (No. 123)
Unique sites:
Sr  0.0000  0.0000  0.0000 (multiplicity 1)
Si  0.0000  0.5000  0.5000 (multiplicity 2)
Pd  0.2523  0.2523  0.3148 (multiplicity 8)

Top 10 peaks for 2θ from 10° to 90°, by angle:
| index | d [Å] | two_theta | intensity |
| --- | --- | --- | --- |
| 0 0 1 | 7.914 | 11.18 | 100.0 |
| 0 0 2 | 3.957 | 22.47 | 40.1 |
| 2 0 0 | 2.746 | 32.61 | 79.6 |
| 0 0 3 | 2.638 | 33.99 | 48.9 |
| 2 0 1 | 2.594 | 34.57 | 36.6 |
| 2 0 2 | 2.256 | 39.96 | 95.3 |
| 2 2 0 | 1.942 | 46.78 | 56.2 |
| 2 0 3 | 1.902 | 47.81 | 63.1 |
| 2 2 3 | 1.564 | 59.07 | 38.8 |
| 4 2 2 | 1.173 | 82.18 | 22.7 |

***

Record 3
For AcNd6Mg, the PBE geometry in Alexandria gives the calculated X-ray powder pattern in this record (Cu Kα).

Structural model:
a = 5.1836 Å, b = 5.1836 Å, c = 10.3500 Å
α = 90.00°, β = 90.00°, γ = 90.00°
Space group P4/mmm (No. 123)
Unique sites:
Ac  0.0000  0.0000  0.0000 (multiplicity 1)
Nd  0.0000  0.5000  0.2596 (multiplicity 4)
Nd  0.5000  0.5000  0.0000 (multiplicity 1)
Nd  0.5000  0.5000  0.5000 (multiplicity 1)
Mg  0.0000  0.0000  0.5000 (multiplicity 1)

Top 10 peaks for 2θ from 10° to 90°, by angle:
| index | d [Å] | two_theta | intensity |
| --- | --- | --- | --- |
| 1 0 1 | 4.635 | 19.15 | 8.8 |
| 0 0 3 | 3.454 | 25.80 | 8.7 |
| 1 1 2 | 2.991 | 29.87 | 100.0 |
| 2 0 0 | 2.590 | 34.63 | 50.7 |
| 2 2 0 | 1.832 | 49.78 | 36.1 |
| 3 1 2 | 1.562 | 59.14 | 42.8 |
| 2 2 4 | 1.496 | 62.06 | 12.3 |
| 3 3 2 | 1.189 | 80.88 | 17.1 |
| 4 2 0 | 1.159 | 83.40 | 11.0 |
| 2 0 8 | 1.158 | 83.52 | 4.9 |

***

Record 4
For BaZrO, the PBE geometry in Alexandria gives the calculated X-ray powder pattern in this record (Cu Kα).

Structural model:
a = 12.6190 Å, b = 3.5535 Å, c = 6.1523 Å
α = 90.00°, β = 90.00°, γ = 90.00°
Space group Amm2 (No. 38)
Unique sites:
Ba  0.1374  0.0000  0.0000 (multiplicity 4)
Zr  0.3946  0.0000  0.6647 (multiplicity 4)
O  0.0000  0.0000  0.6667 (multiplicity 2)
O  0.5000  0.0000  0.9981 (multiplicity 2)

Top 10 peaks for 2θ from 10° to 90°, by angle:
| index | d [Å] | two_theta | intensity |
| --- | --- | --- | --- |
| 4 0 0 | 3.155 | 28.29 | 46.0 |
| 0 0 2 | 3.077 | 29.02 | 56.4 |
| 1 1 1 | 2.989 | 29.89 | 100.0 |
| 3 1 1 | 2.483 | 36.17 | 87.3 |
| 4 0 2 | 2.203 | 40.97 | 29.3 |
| 5 1 1 | 1.951 | 46.54 | 36.4 |
| 0 2 0 | 1.776 | 51.44 | 40.5 |
| 6 1 1 | 1.736 | 52.72 | 14.7 |
| 4 2 0 | 1.548 | 59.74 | 33.8 |
| 3 0 4 | 1.445 | 64.50 | 15.2 |

***

Record 5
For KSbS2O8, the PBE geometry in Alexandria gives the calculated X-ray powder pattern in this record (Cu Kα).

Structural model:
a = 10.6325 Å, b = 7.6916 Å, c = 9.2705 Å
α = 90.00°, β = 92.30°, γ = 90.00°
Space group P2_1/c (No. 14)
Unique sites:
K  0.0887  0.1942  0.3330 (multiplicity 4)
Sb  0.3887  0.7103  0.6868 (multiplicity 4)
S  0.1644  0.7061  0.4232 (multiplicity 4)
S  0.3703  0.2027  0.0907 (multiplicity 4)
O  0.0662  0.6608  0.9159 (multiplicity 4)
O  0.1357  0.5549  0.3334 (multiplicity 4)
O  0.1938  0.6549  0.5790 (multiplicity 4)
O  0.2414  0.2368  0.5883 (multiplicity 4)
O  0.2910  0.7090  0.8793 (multiplicity 4)
O  0.3882  0.0572  0.2083 (multiplicity 4)
O  0.4109  0.1351  0.9520 (multiplicity 4)
O  0.4592  0.1572  0.6473 (multiplicity 4)

Top 10 peaks for 2θ from 10° to 90°, by angle:
| index | d [Å] | two_theta | intensity |
| --- | --- | --- | --- |
| 1 1 0 | 6.230 | 14.22 | 54.9 |
| 0 2 0 | 3.846 | 23.13 | 100.0 |
| 2 0 -2 | 3.562 | 25.00 | 89.5 |
| 2 0 2 | 3.424 | 26.03 | 30.3 |
| 1 2 -1 | 3.384 | 26.33 | 21.5 |
| 2 1 2 | 3.128 | 28.54 | 77.5 |
| 4 0 0 | 2.656 | 33.75 | 28.5 |
| 2 2 -2 | 2.613 | 34.31 | 34.4 |
| 1 3 1 | 2.401 | 37.46 | 21.2 |
| 0 1 4 | 2.217 | 40.69 | 30.9 |

***

Record 6
For CdCuPd4, the PBE geometry in Alexandria gives the calculated X-ray powder pattern in this record (Cu Kα).

Structural model:
a = 8.8265 Å, b = 2.7837 Å, c = 8.8651 Å
α = 90.00°, β = 116.33°, γ = 90.00°
Space group C2/m (No. 12)
Unique sites:
Cd  0.0000  0.0000  0.0000 (multiplicity 2)
Cu  0.0000  0.5000  0.5000 (multiplicity 2)
Pd  0.1538  0.5000  0.8312 (multiplicity 4)
Pd  0.1551  0.0000  0.3529 (multiplicity 4)

Top 10 peaks for 2θ from 10° to 90°, by angle:
| index | d [Å] | two_theta | intensity |
| --- | --- | --- | --- |
| 1 1 -1 | 2.610 | 34.35 | 90.1 |
| 1 1 1 | 2.391 | 37.63 | 35.1 |
| 2 0 2 | 2.333 | 38.59 | 100.0 |
| 2 0 -4 | 2.212 | 40.80 | 74.8 |
| 4 0 -2 | 2.203 | 40.98 | 74.9 |
| 1 1 -3 | 2.019 | 44.89 | 78.5 |
| 3 1 -1 | 2.015 | 45.00 | 84.3 |
| 1 1 3 | 1.740 | 52.61 | 51.1 |
| 5 1 -5 | 1.323 | 71.31 | 26.3 |
| 2 2 2 | 1.195 | 80.32 | 22.3 |

***

Copy entry 1 word for word.
For LaNi2H8Ru, the PBE geometry in Alexandria gives the calculated X-ray powder pattern in this record (Cu Kα).

Structural model:
a = 4.5911 Å, b = 4.5911 Å, c = 16.3927 Å
α = 90.00°, β = 90.00°, γ = 120.00°
Space group R-3 (No. 148, hexagonal axes)
Unique sites:
La  0.0000  0.0000  0.0000 (multiplicity 3)
Ni  0.0000  0.0000  0.2102 (multiplicity 6)
H  0.0000  0.0000  0.3068 (multiplicity 6)
H  0.0149  0.3669  0.7836 (multiplicity 18)
Ru  0.0000  0.0000  0.5000 (multiplicity 3)

Top 10 peaks for 2θ from 10° to 90°, by angle:
| index | d [Å] | two_theta | intensity |
| --- | --- | --- | --- |
| 0 1 2 | 3.577 | 24.89 | 28.2 |
| 1 0 4 | 2.854 | 31.35 | 100.0 |
| 0 0 6 | 2.732 | 32.78 | 16.2 |
| 0 1 5 | 2.529 | 35.49 | 17.6 |
| 1 1 0 | 2.296 | 39.25 | 76.4 |
| 0 2 4 | 1.789 | 51.06 | 25.1 |
| 1 1 6 | 1.758 | 52.03 | 26.6 |
| 1 0 10 | 1.516 | 61.15 | 18.7 |
| 2 1 4 | 1.411 | 66.24 | 22.2 |
| 3 0 0 | 1.325 | 71.14 | 12.8 |

***

Repeat the second record exactly.
For SrSi2Pd8, the PBE geometry in Alexandria gives the calculated X-ray powder pattern in this record (Cu Kα).

Structural model:
a = 5.4926 Å, b = 5.4926 Å, c = 7.9135 Å
α = 90.00°, β = 90.00°, γ = 90.00°
Space group P4/mmm (No. 123)
Unique sites:
Sr  0.0000  0.0000  0.0000 (multiplicity 1)
Si  0.0000  0.5000  0.5000 (multiplicity 2)
Pd  0.2523  0.2523  0.3148 (multiplicity 8)

Top 10 peaks for 2θ from 10° to 90°, by angle:
| index | d [Å] | two_theta | intensity |
| --- | --- | --- | --- |
| 0 0 1 | 7.914 | 11.18 | 100.0 |
| 0 0 2 | 3.957 | 22.47 | 40.1 |
| 2 0 0 | 2.746 | 32.61 | 79.6 |
| 0 0 3 | 2.638 | 33.99 | 48.9 |
| 2 0 1 | 2.594 | 34.57 | 36.6 |
| 2 0 2 | 2.256 | 39.96 | 95.3 |
| 2 2 0 | 1.942 | 46.78 | 56.2 |
| 2 0 3 | 1.902 | 47.81 | 63.1 |
| 2 2 3 | 1.564 | 59.07 | 38.8 |
| 4 2 2 | 1.173 | 82.18 | 22.7 |